Structure and theoretical powder XRD pattern of ZrCu3Ir (a DFT-relaxed cell (PBE, Alexandria); CuKα).
Lines closer than 0.1° are merged.

Structure:
Lattice parameters (Å, degrees): 4.5682 4.5682 4.5682 90.00 90.00 90.00
Fractional positions:
1 Zr 0.0000 0.0000 0.0000
2 Cu 0.0000 0.5000 0.5000
3 Cu 0.5000 0.0000 0.5000
4 Cu 0.5000 0.5000 0.0000
5 Ir 0.5000 0.5000 0.5000

Main lines, by angle (2θ from 10° to 90°):
d_spacing	I_rel
4.568	66.4
3.230	97.1
2.284	100.0
2.043	33.0
1.865	41.5
1.615	66.1
1.523	16.1
1.445	18.4
1.319	21.8
1.221	21.4

=====

Structure and theoretical powder XRD pattern of CaPb4F10 (a DFT-relaxed cell (PBE, Alexandria); CuKα).
Lines closer than 0.1° are merged.

Structure:
Lattice parameters (Å, degrees): 15.1813 15.1813 15.1813 164.27 164.27 22.32
Fractional positions:
1 Ca 0.0000 0.0000 0.0000
2 Pb 0.1987 0.1987 0.0000
3 Pb 0.4040 0.4040 0.0000
4 Pb 0.5960 0.5960 0.0000
5 Pb 0.8013 0.8013 0.0000
6 F 0.0448 0.5448 0.5000
7 F 0.1472 0.6472 0.5000
8 F 0.2500 0.7500 0.5000
9 F 0.3528 0.8528 0.5000
10 F 0.4552 0.9552 0.5000
11 F 0.5448 0.0448 0.5000
12 F 0.6472 0.1472 0.5000
13 F 0.7500 0.2500 0.5000
14 F 0.8528 0.3528 0.5000
15 F 0.9552 0.4552 0.5000

Main lines, by angle (2θ from 10° to 90°):
d_spacing	I_rel
3.408	100.0
2.978	10.8
2.938	20.1
2.092	38.5
2.077	19.6
1.792	15.6
1.774	32.4
1.704	9.3
1.357	12.7
1.202	12.3

=====

Structure and theoretical powder XRD pattern of Li2Tl5In5 (a DFT-relaxed cell (PBE, Alexandria); CuKα).
Lines closer than 0.1° are merged.

Structure:
Lattice parameters (Å, degrees): 7.5369 7.5369 10.4435 114.45 114.45 36.72
Fractional positions:
1 Li 0.0882 0.0882 0.2608
2 Li 0.9118 0.9118 0.7392
3 Tl 0.0000 0.0000 0.5000
4 Tl 0.1547 0.1547 0.9901
5 Tl 0.2563 0.2563 0.7528
6 Tl 0.7437 0.7437 0.2472
7 Tl 0.8453 0.8453 0.0099
8 In 0.3272 0.3272 0.4951
9 In 0.4334 0.4334 0.2598
10 In 0.5000 0.5000 0.0000
11 In 0.5666 0.5666 0.7402
12 In 0.6728 0.6728 0.5049

Main lines, by angle (2θ from 10° to 90°):
d_spacing	I_rel
2.756	99.6
2.715	100.0
2.384	32.3
2.374	34.5
2.349	32.6
1.682	22.3
1.670	22.9
1.434	13.8
1.427	26.3
1.411	15.4

=====

Q: What is the formula in the first record?
A: ZrCu3Ir